# 1
Diffraction record for K3Tl2Bi4Pd2. The powder XRD pattern is simulated, not measured: it uses a cell relaxed with GGA-PBE and Cu Kα X-rays.
Peak positions follow from Bragg's law for the DFT cell and can differ from measured ones.

Most intense lines, 15° ≤ 2θ ≤ 90°, by angle:
- 21.2°, d = 4.201 Å, I 58.6, (1 0 0)
- 25.5°, d = 3.495 Å, I 63.4, (1 0 3)
- 28.4°, d = 3.139 Å, I 56.8, (1 0 4)
- 35.6°, d = 2.520 Å, I 45.5, (0 1 6)
- 37.1°, d = 2.425 Å, I 100.0, (1 1 0)
- 39.8°, d = 2.263 Å, I 30.7, (1 1 3)
- 48.5°, d = 1.878 Å, I 30.8, (0 1 9)
- 50.6°, d = 1.804 Å, I 23.5, (1 1 7)

Crystal structure
Unit cell a=4.8504 b=4.8504 c=18.8971 alpha=90.00 beta=90.00 gamma=120.00
Space group P-3m1 (No. 164)
Inequivalent atoms, fractional coordinates:
K 0.0000 0.0000 0.0000 (multiplicity 1)
K 0.0000 0.0000 0.3015 (multiplicity 2)
Tl 0.3333 0.6667 0.1890 (multiplicity 2)
Bi 0.3333 0.6667 0.4215 (multiplicity 2)
Bi 0.3333 0.6667 0.8733 (multiplicity 2)
Pd 0.3333 0.6667 0.5640 (multiplicity 2)

# 2
Diffraction record for K2PmBiS4. The powder XRD pattern is simulated, not measured: it uses a cell relaxed with GGA-PBE and Cu Kα X-rays.
Peak positions follow from Bragg's law for the DFT cell and can differ from measured ones.

Most intense lines, 15° ≤ 2θ ≤ 90°, by angle:
- 25.0°, d = 3.562 Å, I 31.1, (1 1 0)
- 26.0°, d = 3.432 Å, I 39.0, (2 0 0)
- 29.5°, d = 3.025 Å, I 100.0, (1 1 1)
- 37.8°, d = 2.382 Å, I 19.9, (2 0 -3)
- 41.0°, d = 2.200 Å, I 36.6, (2 0 2)
- 43.4°, d = 2.083 Å, I 34.5, (0 2 0)
- 45.2°, d = 2.005 Å, I 19.0, (3 1 -2)
- 53.4°, d = 1.716 Å, I 18.0, (4 0 0)

Crystal structure
Unit cell a=7.2214 b=4.1643 c=7.7778 alpha=90.00 beta=107.95 gamma=90.00
Space group P2/m (No. 10)
Inequivalent atoms, fractional coordinates:
K 0.0000 0.0000 0.0000 (multiplicity 1)
K 0.5000 0.5000 0.0000 (multiplicity 1)
Pm 0.0000 0.5000 0.5000 (multiplicity 1)
Bi 0.5000 0.0000 0.5000 (multiplicity 1)
S 0.2340 0.0000 0.7072 (multiplicity 2)
S 0.2615 0.5000 0.2907 (multiplicity 2)

# 3
Diffraction record for K2Bi5Pt4. The powder XRD pattern is simulated, not measured: it uses a cell relaxed with GGA-PBE and Cu Kα X-rays.
Peak positions follow from Bragg's law for the DFT cell and can differ from measured ones.

Most intense lines, 15° ≤ 2θ ≤ 90°, by angle:
- 16.0°, d = 5.553 Å, I 100.0, (1 1 -1)
- 28.5°, d = 3.137 Å, I 29.2, (2 0 -3)
- 28.8°, d = 3.105 Å, I 24.8, (0 2 1)
- 32.2°, d = 2.777 Å, I 22.5, (2 2 -2)
- 32.7°, d = 2.736 Å, I 30.7, (1 1 2)
- 37.2°, d = 2.419 Å, I 56.7, (2 2 1)
- 37.4°, d = 2.402 Å, I 53.5, (4 2 -2)
- 44.8°, d = 2.025 Å, I 34.9, (6 0 -1)

Crystal structure
Unit cell a=13.5975 b=6.8254 c=9.5993 alpha=90.00 beta=128.82 gamma=90.00
Space group C2/m (No. 12)
Inequivalent atoms, fractional coordinates:
K 0.2147 0.0000 0.1291 (multiplicity 4)
Bi 0.0000 0.5000 0.0000 (multiplicity 2)
Bi 0.0820 0.2496 0.4145 (multiplicity 8)
Pt 0.1144 0.0000 0.7218 (multiplicity 4)
Pt 0.2172 0.5000 0.3352 (multiplicity 4)

# 4
Diffraction record for K3Bi4Pt4. The powder XRD pattern is simulated, not measured: it uses a cell relaxed with GGA-PBE and Cu Kα X-rays.
Peak positions follow from Bragg's law for the DFT cell and can differ from measured ones.

Most intense lines, 15° ≤ 2θ ≤ 90°, by angle:
- 17.2°, d = 5.170 Å, I 100.0, (0 1 1)
- 21.2°, d = 4.191 Å, I 38.6, (1 0 3)
- 28.7°, d = 3.114 Å, I 84.2, (1 1 4)
- 29.3°, d = 3.049 Å, I 31.7, (0 1 7)
- 34.0°, d = 2.637 Å, I 56.2, (0 2 0)
- 37.6°, d = 2.390 Å, I 42.7, (2 0 0)
- 43.0°, d = 2.104 Å, I 87.5, (1 1 10)
- 51.6°, d = 1.771 Å, I 34.9, (2 2 0)

Crystal structure
Unit cell a=4.7793 b=5.2739 c=26.1557 alpha=90.00 beta=90.00 gamma=90.00
Space group Immm (No. 71)
Inequivalent atoms, fractional coordinates:
K 0.0000 0.0000 0.0000 (multiplicity 2)
K 0.0000 0.5000 0.3620 (multiplicity 4)
Bi 0.0000 0.0000 0.2451 (multiplicity 4)
Bi 0.0000 0.5000 0.0970 (multiplicity 4)
Pt 0.0000 0.0000 0.4503 (multiplicity 4)
Pt 0.0000 0.5000 0.2006 (multiplicity 4)